Calculated XRD peak list
Compound: Rb2AcV2O7
Radiation: a wavelength of 1.5418 Å
Structure: a GGA+U-relaxed structure
No peak broadening, texture or thermal motion is included.

The 10 most intense peaks (10 to 90 degrees two-theta), in order of rising 2θ:
2theta, I (rel.)
11.6, 72
17.7, 29
22.3, 78
25.2, 43
27.8, 100
30.2, 29
31.8, 33
35.9, 44
46.0, 27
56.2, 27

Structural model:
Unit cell a=8.4573 b=8.4573 c=8.4573 alpha=44.66 beta=44.66 gamma=44.66
Positions (direct):
Rb 0.2428 0.2428 0.2428
Rb 0.7572 0.7572 0.7572
Ac 0.5000 0.5000 0.5000
V 0.0795 0.0795 0.0795
V 0.9205 0.9205 0.9205
O 0.0000 0.0000 0.0000
O 0.1928 0.7456 0.7456
O 0.2544 0.2544 0.8072
O 0.2544 0.8072 0.2544
O 0.7456 0.1928 0.7456
O 0.7456 0.7456 0.1928
O 0.8072 0.2544 0.2544